Computed powder X-ray diffraction pattern of Pr2MgSi4 for Cu Kα X-rays, from DFT lattice parameters and positions (GGA-PBE).
Neutral-atom scattering factors, no anomalous dispersion.

Atomic structure:
```
Pr2MgSi4
1.0
-3.0542 3.0542 17.0241
3.0542 -3.0542 17.0241
3.0542 3.0542 -17.0241
Pr Mg Si
8 4 16
Direct
0.0993 0.3508 0.7484
0.1008 0.3493 0.2484
0.1008 0.8524 0.7516
0.2485 0.0000 0.2485
0.6024 0.3508 0.2516
0.7500 0.0015 0.2515
0.7500 0.4985 0.7485
0.7515 0.0000 0.7515
0.4254 0.1749 0.7495
0.4254 0.6758 0.2505
0.4258 0.6754 0.7505
0.9249 0.6754 0.2495
0.0509 0.8146 0.2362
0.0786 0.8842 0.1944
0.1605 0.4664 0.6941
0.2164 0.0223 0.8059
0.2164 0.4105 0.1941
0.2697 0.5361 0.7336
0.2861 0.0525 0.7664
0.2861 0.5197 0.2336
0.5646 0.3009 0.7362
0.5646 0.8284 0.2638
0.5784 0.8146 0.7638
0.6342 0.3286 0.6944
0.6342 0.9398 0.3056
0.6898 0.8842 0.8056
0.7723 0.4664 0.3059
0.8025 0.5361 0.2664
```

The 10 most intense peaks (10° ≤ 2θ ≤ 80°), most intense first:
d 2.689, rel. 100; d 5.379, rel. 52; d 3.006, rel. 51; d 2.160, rel. 43; d 3.216, rel. 42; d 4.256, rel. 28; d 8.512, rel. 26; d 2.656, rel. 26; d 2.215, rel. 24; d 1.328, rel. 23


Computed powder X-ray diffraction pattern of Ac2ZnIn for Cu Kα X-rays, from DFT lattice parameters and positions (GGA-PBE).
Neutral-atom scattering factors, no anomalous dispersion.

Atomic structure:
```
Ac2ZnIn
1.0
0.0000 4.0311 4.0311
4.0311 0.0000 4.0311
4.0311 4.0311 0.0000
Ac Zn In
2 1 1
Direct
0.2500 0.2500 0.2500
0.7500 0.7500 0.7500
0.0000 0.0000 0.0000
0.5000 0.5000 0.5000
```

The 10 most intense peaks (10° ≤ 2θ ≤ 80°), most intense first:
d 2.850, rel. 100; d 1.646, rel. 40; d 2.016, rel. 19; d 4.031, rel. 19; d 1.275, rel. 17; d 1.425, rel. 12; d 1.803, rel. 9; d 2.327, rel. 6; d 1.344, rel. 5; d 1.215, rel. 3


Computed powder X-ray diffraction pattern of Ag2TeO6 for Cu Kα X-rays, from DFT lattice parameters and positions (GGA-PBE).
Neutral-atom scattering factors, no anomalous dispersion.

Atomic structure:
```
Ag2TeO6
1.0
5.5527 0.0000 0.0000
2.7559 6.1604 0.0000
2.7703 -0.0192 8.0437
Ag Te O
4 2 12
Direct
0.0000 0.0000 0.0000
0.0034 0.1446 0.6567
0.0831 0.6447 0.5000
0.4212 0.5006 0.1563
0.3806 0.2540 0.8332
0.6369 0.7536 0.3227
0.0098 0.5129 0.3036
0.0865 0.4200 0.7334
0.1757 0.1906 0.0544
0.2425 0.9199 0.4223
0.2983 0.0003 0.7776
0.4037 0.4926 0.9212
0.4988 0.5003 0.3785
0.6324 0.2806 0.6162
0.6531 0.6890 0.1017
0.6713 0.7808 0.5402
0.7343 0.0136 0.8523
0.7487 0.9913 0.2352
```

The 10 most intense peaks (10° ≤ 2θ ≤ 80°), most intense first:
d 4.891, rel. 100; d 3.238, rel. 46; d 3.682, rel. 43; d 2.715, rel. 37; d 2.530, rel. 25; d 2.093, rel. 23; d 2.877, rel. 13; d 2.624, rel. 12; d 4.829, rel. 11; d 2.230, rel. 10


Computed powder X-ray diffraction pattern of Te6MoW3Se2 for Cu Kα X-rays, from DFT lattice parameters and positions (GGA-PBE).
Neutral-atom scattering factors, no anomalous dispersion.

Atomic structure:
```
Te6MoW3Se2
1.0
3.4980 0.0000 0.0000
-1.7490 3.0294 0.0000
0.0000 0.0000 39.6509
Te Mo W Se
6 1 3 2
Direct
0.0000 0.0000 0.0000
0.0000 0.0000 0.0924
0.0000 0.0000 0.3754
0.0000 0.0000 0.4684
0.3333 0.6667 0.8118
0.3333 0.6667 0.9048
0.3333 0.6667 0.0462
0.0000 0.0000 0.2340
0.0000 0.0000 0.8583
0.3333 0.6667 0.4219
0.3333 0.6667 0.1931
0.3333 0.6667 0.2750
```

The 10 most intense peaks (10° ≤ 2θ ≤ 80°), most intense first:
d 7.930, rel. 100; d 2.585, rel. 96; d 2.149, rel. 60; d 3.028, rel. 47; d 1.749, rel. 35; d 2.069, rel. 18; d 1.283, rel. 17; d 1.449, rel. 16; d 2.830, rel. 15; d 2.407, rel. 15


Which formula does entry 3 have? Ag2TeO6